(1)
This entry pairs a crystal structure of Bi2P2I with its simulated powder diffraction line list. Radiation: Cu Kα, 1.54184 Å. Structure: DFT lattice parameters and positions (GGA-PBE).
Peak positions follow from Bragg's law for the DFT cell and can differ from measured ones.

Structure:
a = 4.616 Å, b = 4.616 Å, c = 14.289 Å
α = 90.00°, β = 90.00°, γ = 90.00°
Fractional coordinates of all 10 atoms:
Bi (0.000, 0.000, 0.140)
Bi (0.000, 0.000, 0.860)
Bi (0.500, 0.500, 0.360)
Bi (0.500, 0.500, 0.640)
P (0.000, 0.500, 0.250)
P (0.000, 0.500, 0.750)
P (0.500, 0.000, 0.250)
P (0.500, 0.000, 0.750)
I (0.000, 0.000, 0.500)
I (0.500, 0.500, 0.000)

Principal peaks in the range 2θ = 10–90°, in order of rising 2θ:
| two_theta | I (rel.) |
| --- | --- |
| 20.22 | 15 |
| 26.90 | 100 |
| 27.32 | 45 |
| 37.00 | 11 |
| 37.32 | 18 |
| 39.03 | 28 |
| 47.25 | 16 |
| 48.04 | 42 |
| 56.38 | 10 |
| 77.15 | 11 |

---

(2)
This entry pairs a crystal structure of HoSc2Zn2Sn2 with its simulated powder diffraction line list. Radiation: Cu Kα, 1.54184 Å. Structure: DFT lattice parameters and positions (GGA-PBE).
Peak positions follow from Bragg's law for the DFT cell and can differ from measured ones.

Structure:
a = 8.731 Å, b = 8.731 Å, c = 8.731 Å
α = 31.03°, β = 31.03°, γ = 31.03°
Fractional coordinates of all 7 atoms:
Ho (0.000, 0.000, 0.000)
Sc (0.135, 0.135, 0.135)
Sc (0.865, 0.865, 0.865)
Zn (0.442, 0.442, 0.442)
Zn (0.558, 0.558, 0.558)
Sn (0.263, 0.263, 0.263)
Sn (0.737, 0.737, 0.737)

Principal peaks in the range 2θ = 10–90°, in order of rising 2θ:
| two_theta | I (rel.) |
| --- | --- |
| 26.27 | 69 |
| 33.54 | 90 |
| 36.41 | 24 |
| 38.55 | 100 |
| 45.93 | 20 |
| 47.26 | 15 |
| 52.01 | 25 |
| 66.58 | 24 |
| 69.45 | 14 |
| 69.75 | 17 |

---

(3)
This entry pairs a crystal structure of Na2Sn5Pd3 with its simulated powder diffraction line list. Radiation: Cu Kα, 1.54184 Å. Structure: DFT lattice parameters and positions (GGA-PBE).
Peak positions follow from Bragg's law for the DFT cell and can differ from measured ones.

Structure:
a = 13.478 Å, b = 13.478 Å, c = 7.453 Å
α = 90.00°, β = 90.00°, γ = 160.75°
Fractional coordinates of all 20 atoms:
Na (0.023, 0.977, 0.500)
Na (0.326, 0.674, 0.562)
Na (0.674, 0.326, 0.062)
Na (0.977, 0.023, 0.000)
Sn (0.097, 0.903, 0.881)
Sn (0.206, 0.794, 0.354)
Sn (0.207, 0.793, 0.775)
Sn (0.380, 0.620, 0.002)
Sn (0.451, 0.549, 0.661)
Sn (0.549, 0.451, 0.161)
Sn (0.620, 0.380, 0.502)
Sn (0.793, 0.207, 0.275)
Sn (0.794, 0.206, 0.854)
Sn (0.903, 0.097, 0.381)
Pd (0.107, 0.893, 0.253)
Pd (0.276, 0.724, 0.067)
Pd (0.451, 0.549, 0.284)
Pd (0.549, 0.451, 0.784)
Pd (0.724, 0.276, 0.567)
Pd (0.893, 0.107, 0.753)

Principal peaks in the range 2θ = 10–90°, in order of rising 2θ:
| two_theta | I (rel.) |
| --- | --- |
| 17.88 | 48 |
| 20.04 | 36 |
| 22.13 | 35 |
| 31.33 | 36 |
| 32.78 | 100 |
| 33.11 | 71 |
| 40.01 | 77 |
| 41.70 | 39 |
| 42.80 | 58 |
| 43.98 | 68 |

---

(4)
This entry pairs a crystal structure of CaCuOs with its simulated powder diffraction line list. Radiation: Cu Kα, 1.54184 Å. Structure: DFT lattice parameters and positions (GGA-PBE).
Peak positions follow from Bragg's law for the DFT cell and can differ from measured ones.

Structure:
a = 2.706 Å, b = 4.067 Å, c = 9.906 Å
α = 90.00°, β = 90.00°, γ = 90.00°
Fractional coordinates of all 6 atoms:
Ca (0.000, 0.000, 0.000)
Ca (0.500, 0.500, 0.500)
Cu (0.000, 0.000, 0.285)
Cu (0.500, 0.500, 0.785)
Os (0.000, 0.000, 0.704)
Os (0.500, 0.500, 0.204)

Principal peaks in the range 2θ = 10–90°, in order of rising 2θ:
| two_theta | I (rel.) |
| --- | --- |
| 17.91 | 100 |
| 23.65 | 37 |
| 35.00 | 60 |
| 36.27 | 20 |
| 40.02 | 66 |
| 43.22 | 33 |
| 44.16 | 42 |
| 44.56 | 24 |
| 55.11 | 23 |
| 63.82 | 20 |

---

Please write out number 2 again, unchanged.
This entry pairs a crystal structure of HoSc2Zn2Sn2 with its simulated powder diffraction line list. Radiation: Cu Kα, 1.54184 Å. Structure: DFT lattice parameters and positions (GGA-PBE).
Peak positions follow from Bragg's law for the DFT cell and can differ from measured ones.

Structure:
a = 8.731 Å, b = 8.731 Å, c = 8.731 Å
α = 31.03°, β = 31.03°, γ = 31.03°
Fractional coordinates of all 7 atoms:
Ho (0.000, 0.000, 0.000)
Sc (0.135, 0.135, 0.135)
Sc (0.865, 0.865, 0.865)
Zn (0.442, 0.442, 0.442)
Zn (0.558, 0.558, 0.558)
Sn (0.263, 0.263, 0.263)
Sn (0.737, 0.737, 0.737)

Principal peaks in the range 2θ = 10–90°, in order of rising 2θ:
| two_theta | I (rel.) |
| --- | --- |
| 26.27 | 69 |
| 33.54 | 90 |
| 36.41 | 24 |
| 38.55 | 100 |
| 45.93 | 20 |
| 47.26 | 15 |
| 52.01 | 25 |
| 66.58 | 24 |
| 69.45 | 14 |
| 69.75 | 17 |